TlGe2Br8: computed X-ray powder pattern (copper Kα), based on a crystal structure in Alexandria, relaxed with PBE.
No peak broadening, texture or thermal motion is included.

Main lines, low angle first (2θ = 5–70°):
two_theta	d (Å)	I/Imax
11.7	7.568	64.9
18.0	4.928	20.8
19.1	4.637	25.0
20.5	4.340	40.9
24.4	3.651	100.0
28.2	3.164	43.9
30.4	2.942	19.5
35.5	2.529	45.3
35.6	2.520	19.6
45.3	2.001	27.9

Cell and atoms:
```
data_TlGe2Br8
_chemical_formula_sum 'Tl2 Ge4 Br16'
_cell_length_a 13.789
_cell_length_b 9.273
_cell_length_c 7.910
_cell_angle_alpha 90.00
_cell_angle_beta 107.71
_cell_angle_gamma 90.00
_space_group_name_H-M_alt 'C 1 2/m 1'
_space_group_IT_number 12
loop_
_space_group_symop_operation_xyz
'x,y,z'
'-x,-y,-z'
'-x,y,-z'
'x,-y,z'
'x+1/2,y+1/2,z'
'-x+1/2,-y+1/2,-z'
'-x+1/2,y+1/2,-z'
'x+1/2,-y+1/2,z'
loop_
_atom_site_label
_atom_site_fract_x
_atom_site_fract_y
_atom_site_fract_z
Tl1 0.000 0.000 0.000
Ge1 0.209 0.000 0.696
Br1 0.115 0.500 0.132
Br2 0.122 0.206 0.764
Br3 0.190 0.000 0.384
```


Tl6GeBr8: computed X-ray powder pattern (copper Kα), based on a crystal structure in Alexandria, relaxed with PBE.
No peak broadening, texture or thermal motion is included.

Main lines, low angle first (2θ = 5–70°):
two_theta	d (Å)	I/Imax
17.9	4.957	37.3
22.6	3.931	100.0
27.6	3.227	49.7
27.9	3.201	63.1
29.0	3.077	41.8
31.3	2.862	66.0
33.1	2.704	77.6
33.2	2.695	39.7
36.1	2.487	36.7
38.9	2.313	53.6

Cell and atoms:
```
data_Tl6GeBr8
_chemical_formula_sum 'Tl18 Ge3 Br24'
_cell_length_a 9.9147
_cell_length_b 9.9147
_cell_length_c 19.3599
_cell_angle_alpha 90.00
_cell_angle_beta 90.00
_cell_angle_gamma 120.00
_space_group_name_H-M_alt 'R -3'
_space_group_IT_number 148
_space_group_name_Hall '-R 3'
loop_
_atom_site_label
_atom_site_fract_x
_atom_site_fract_y
_atom_site_fract_z
Tl1 0.0218 0.6244 0.4225
Ge1 0.0000 0.0000 0.5000
Br1 0.0000 0.0000 0.1661
Br2 0.0059 0.7665 0.5831
```


TlGe2Br: computed X-ray powder pattern (copper Kα), based on a crystal structure in Alexandria, relaxed with PBE.
No peak broadening, texture or thermal motion is included.

Main lines, low angle first (2θ = 5–70°):
two_theta	d (Å)	I/Imax
21.1	4.206	16.4
24.4	3.643	11.1
34.8	2.576	100.0
41.1	2.197	9.5
43.0	2.103	3.4
50.1	1.821	17.8
54.9	1.671	4.3
56.5	1.629	4.7
62.4	1.487	36.6
66.7	1.402	3.2

Cell and atoms:
```
data_TlGe2Br
_chemical_formula_sum 'Tl4 Ge8 Br4'
_cell_length_a 7.285
_cell_length_b 7.285
_cell_length_c 7.285
_cell_angle_alpha 90.00
_cell_angle_beta 90.00
_cell_angle_gamma 90.00
_space_group_name_H-M_alt 'F m -3 m'
_space_group_IT_number 225
_space_group_name_Hall '-F 4 2 3'
loop_
_atom_site_label
_atom_site_fract_x
_atom_site_fract_y
_atom_site_fract_z
Tl1 0.000 0.000 0.000
Ge1 0.250 0.250 0.250
Br1 0.000 0.000 0.500
```


Tl2GeBr6: computed X-ray powder pattern (copper Kα), based on a crystal structure in Alexandria, relaxed with PBE.
No peak broadening, texture or thermal motion is included.

Main lines, low angle first (2θ = 5–70°):
two_theta	d (Å)	I/Imax
12.8	6.900	100.0
24.1	3.690	37.2
27.9	3.196	37.6
30.6	2.924	45.8
30.7	2.914	47.9
31.0	2.888	87.0
31.1	2.872	27.9
38.1	2.359	62.0
38.9	2.316	28.4
49.4	1.845	52.3

Cell and atoms:
```
data_Tl2GeBr6
_chemical_formula_sum 'Tl4 Ge2 Br12'
_cell_length_a 12.775
_cell_length_b 7.387
_cell_length_c 6.902
_cell_angle_alpha 90.00
_cell_angle_beta 91.37
_cell_angle_gamma 90.00
_space_group_name_H-M_alt 'C 1 2/m 1'
_space_group_IT_number 12
loop_
_space_group_symop_operation_xyz
'x,y,z'
'-x,-y,-z'
'-x,y,-z'
'x,-y,z'
'x+1/2,y+1/2,z'
'-x+1/2,-y+1/2,-z'
'-x+1/2,y+1/2,-z'
'x+1/2,-y+1/2,z'
loop_
_atom_site_label
_atom_site_fract_x
_atom_site_fract_y
_atom_site_fract_z
Tl1 0.169 0.000 0.152
Ge1 0.000 0.500 0.000
Br1 0.078 0.259 0.789
Br2 0.163 0.500 0.214
```


Tm2GeBr3: computed X-ray powder pattern (copper Kα), based on a crystal structure in Alexandria, relaxed with PBE.
No peak broadening, texture or thermal motion is included.

Main lines, low angle first (2θ = 5–70°):
two_theta	d (Å)	I/Imax
9.0	9.794	49.5
9.6	9.238	54.6
14.0	6.341	100.0
26.2	3.404	95.9
26.8	3.327	50.5
32.7	2.738	48.2
36.3	2.472	54.6
41.7	2.168	53.6
44.3	2.045	48.9
45.1	2.010	55.0

Cell and atoms:
```
data_Tm2GeBr3
_chemical_formula_sum 'Tm8 Ge4 Br12'
_cell_length_a 18.618
_cell_length_b 4.018
_cell_length_c 12.705
_cell_angle_alpha 90.00
_cell_angle_beta 129.57
_cell_angle_gamma 90.00
_space_group_name_H-M_alt 'C 1 2/m 1'
_space_group_IT_number 12
loop_
_space_group_symop_operation_xyz
'x,y,z'
'-x,-y,-z'
'-x,y,-z'
'x,-y,z'
'x+1/2,y+1/2,z'
'-x+1/2,-y+1/2,-z'
'-x+1/2,y+1/2,-z'
'x+1/2,-y+1/2,z'
loop_
_atom_site_label
_atom_site_fract_x
_atom_site_fract_y
_atom_site_fract_z
Tm1 0.111 0.000 0.441
Tm2 0.126 0.500 0.820
Ge1 0.065 0.000 0.625
Br1 0.047 0.500 0.231
Br2 0.176 0.000 0.027
Br3 0.242 0.500 0.613
```


VGeBr4: computed X-ray powder pattern (copper Kα), based on a crystal structure in Alexandria, relaxed with PBE.
No peak broadening, texture or thermal motion is included.

Main lines, low angle first (2θ = 5–70°):
two_theta	d (Å)	I/Imax
13.0	6.815	83.1
28.9	3.086	46.9
29.2	3.063	33.5
29.3	3.051	100.0
36.9	2.433	27.2
37.3	2.409	48.4
45.7	1.985	36.8
46.1	1.969	19.8
48.0	1.895	35.1
48.1	1.891	21.8

Cell and atoms:
```
data_VGeBr4
_chemical_formula_sum 'V2 Ge2 Br8'
_cell_length_a 15.229
_cell_length_b 3.937
_cell_length_c 6.897
_cell_angle_alpha 90.00
_cell_angle_beta 116.49
_cell_angle_gamma 90.00
_space_group_name_H-M_alt 'C 1 2/m 1'
_space_group_IT_number 12
loop_
_space_group_symop_operation_xyz
'x,y,z'
'-x,-y,-z'
'-x,y,-z'
'x,-y,z'
'x+1/2,y+1/2,z'
'-x+1/2,-y+1/2,-z'
'-x+1/2,y+1/2,-z'
'x+1/2,-y+1/2,z'
loop_
_atom_site_label
_atom_site_fract_x
_atom_site_fract_y
_atom_site_fract_z
V1 0.000 0.000 0.000
Ge1 0.000 0.500 0.500
Br1 0.108 0.500 0.957
Br2 0.114 0.000 0.424
```


HBr: computed X-ray powder pattern (copper Kα), based on a crystal structure in Alexandria, relaxed with PBE.
No peak broadening, texture or thermal motion is included.

Main lines, low angle first (2θ = 5–70°):
two_theta	d (Å)	I/Imax
24.7	3.611	29.3
25.7	3.468	100.0
31.3	2.854	13.6
32.7	2.740	13.0
40.3	2.239	13.6
41.4	2.183	13.4
44.0	2.056	22.5
52.5	1.744	11.6
52.8	1.734	12.6
54.2	1.692	11.9

Cell and atoms:
```
data_HBr
_chemical_formula_sum 'H4 Br4'
_cell_length_a 7.221
_cell_length_b 5.708
_cell_length_c 5.481
_cell_angle_alpha 90.00
_cell_angle_beta 90.00
_cell_angle_gamma 90.00
_space_group_name_H-M_alt 'C m c 21'
_space_group_IT_number 36
loop_
_space_group_symop_operation_xyz
'x,y,z'
'-x,-y,z+1/2'
'-x,y,z'
'x,-y,z+1/2'
'x+1/2,y+1/2,z'
'-x+1/2,-y+1/2,z+1/2'
'-x+1/2,y+1/2,z'
'x+1/2,-y+1/2,z+1/2'
loop_
_atom_site_label
_atom_site_fract_x
_atom_site_fract_y
_atom_site_fract_z
H1 0.000 0.051 0.000
Br1 0.000 0.230 0.193
```


Hf2H2Br7: computed X-ray powder pattern (copper Kα), based on a crystal structure in Alexandria, relaxed with PBE.
No peak broadening, texture or thermal motion is included.

Main lines, low angle first (2θ = 5–70°):
two_theta	d (Å)	I/Imax
12.0	7.361	100.0
15.0	5.909	44.4
25.9	3.442	24.0
27.5	3.240	20.8
29.7	3.004	22.4
33.2	2.698	27.7
33.5	2.675	20.5
36.4	2.469	22.5
37.4	2.405	18.4
46.6	1.948	17.7

Cell and atoms:
```
data_Hf2H2Br7
_chemical_formula_sum 'Hf4 H4 Br14'
_cell_length_a 11.832
_cell_length_b 7.789
_cell_length_c 7.369
_cell_angle_alpha 90.00
_cell_angle_beta 92.75
_cell_angle_gamma 90.00
_space_group_name_H-M_alt 'C 1 2/m 1'
_space_group_IT_number 12
loop_
_space_group_symop_operation_xyz
'x,y,z'
'-x,-y,-z'
'-x,y,-z'
'x,-y,z'
'x+1/2,y+1/2,z'
'-x+1/2,-y+1/2,-z'
'-x+1/2,y+1/2,-z'
'x+1/2,-y+1/2,z'
loop_
_atom_site_label
_atom_site_fract_x
_atom_site_fract_y
_atom_site_fract_z
Hf1 0.241 0.000 0.037
H1 0.000 0.048 0.500
Br1 0.000 0.000 0.000
Br2 0.074 0.500 0.794
Br3 0.201 0.283 0.229
```


Hf2H2Br: computed X-ray powder pattern (copper Kα), based on a crystal structure in Alexandria, relaxed with PBE.
No peak broadening, texture or thermal motion is included.

Main lines, low angle first (2θ = 5–70°):
two_theta	d (Å)	I/Imax
28.5	3.134	28.6
30.3	2.948	100.0
34.5	2.601	41.2
39.7	2.271	23.5
42.1	2.147	84.9
43.4	2.085	40.9
58.9	1.567	10.1
63.8	1.459	23.0
67.3	1.392	22.4
67.7	1.384	20.6

Cell and atoms:
```
data_Hf2H2Br
_chemical_formula_sum 'Hf4 H4 Br2'
_cell_length_a 6.593
_cell_length_b 6.593
_cell_length_c 3.134
_cell_angle_alpha 90.00
_cell_angle_beta 90.00
_cell_angle_gamma 90.00
_space_group_name_H-M_alt 'P 4/m b m'
_space_group_IT_number 127
_space_group_name_Hall '-P 4 2ab'
loop_
_atom_site_label
_atom_site_fract_x
_atom_site_fract_y
_atom_site_fract_z
Hf1 0.149 0.351 0.000
H1 0.105 0.605 0.500
Br1 0.000 0.000 0.500
```


HfH2Br4: computed X-ray powder pattern (copper Kα), based on a crystal structure in Alexandria, relaxed with PBE.
No peak broadening, texture or thermal motion is included.

Main lines, low angle first (2θ = 5–70°):
two_theta	d (Å)	I/Imax
13.3	6.644	88.6
13.4	6.592	83.1
14.7	6.034	100.0
23.0	3.869	53.6
26.8	3.322	54.2
28.8	3.105	100.0
31.2	2.866	56.4
38.9	2.315	66.3
40.7	2.216	61.2
49.4	1.845	37.1

Cell and atoms:
```
data_HfH2Br4
_chemical_formula_sum 'Hf2 H4 Br8'
_cell_length_a 14.375
_cell_length_b 4.085
_cell_length_c 7.915
_cell_angle_alpha 90.00
_cell_angle_beta 122.92
_cell_angle_gamma 90.00
_space_group_name_H-M_alt 'C 1 2/m 1'
_space_group_IT_number 12
loop_
_space_group_symop_operation_xyz
'x,y,z'
'-x,-y,-z'
'-x,y,-z'
'x,-y,z'
'x+1/2,y+1/2,z'
'-x+1/2,-y+1/2,-z'
'-x+1/2,y+1/2,-z'
'x+1/2,-y+1/2,z'
loop_
_atom_site_label
_atom_site_fract_x
_atom_site_fract_y
_atom_site_fract_z
Hf1 0.000 0.000 0.000
H1 0.142 0.000 0.245
Br1 0.079 0.000 0.394
Br2 0.134 0.500 0.028
```


HfH2I2Br2: computed X-ray powder pattern (copper Kα), based on a crystal structure in Alexandria, relaxed with PBE.
No peak broadening, texture or thermal motion is included.

Main lines, low angle first (2θ = 5–70°):
two_theta	d (Å)	I/Imax
11.6	7.635	100.0
12.3	7.177	61.0
16.5	5.371	20.7
23.3	3.817	26.3
25.9	3.446	29.0
29.4	3.037	79.8
34.2	2.621	32.8
36.9	2.438	20.7
41.6	2.173	23.1
47.9	1.899	18.5

Cell and atoms:
```
data_HfH2I2Br2
_chemical_formula_sum 'Hf2 H4 I4 Br4'
_cell_length_a 14.373
_cell_length_b 4.116
_cell_length_c 10.216
_cell_angle_alpha 90.00
_cell_angle_beta 131.64
_cell_angle_gamma 90.00
_space_group_name_H-M_alt 'C 1 2/m 1'
_space_group_IT_number 12
loop_
_space_group_symop_operation_xyz
'x,y,z'
'-x,-y,-z'
'-x,y,-z'
'x,-y,z'
'x+1/2,y+1/2,z'
'-x+1/2,-y+1/2,-z'
'-x+1/2,y+1/2,-z'
'x+1/2,-y+1/2,z'
loop_
_atom_site_label
_atom_site_fract_x
_atom_site_fract_y
_atom_site_fract_z
Hf1 0.000 0.000 0.000
H1 0.034 0.000 0.522
I1 0.062 0.500 0.866
Br1 0.222 0.000 0.288
```


HgH4Br2: computed X-ray powder pattern (copper Kα), based on a crystal structure in Alexandria, relaxed with PBE.
No peak broadening, texture or thermal motion is included.

Main lines, low angle first (2θ = 5–70°):
two_theta	d (Å)	I/Imax
17.9	4.964	100.0
18.1	4.908	61.4
18.4	4.825	42.5
22.2	3.999	49.2
25.8	3.449	51.6
31.1	2.872	49.8
31.7	2.822	32.2
36.6	2.454	32.7
45.4	2.000	35.8
48.6	1.873	24.9

Cell and atoms:
```
data_HgH4Br2
_chemical_formula_sum 'Hg2 H8 Br4'
_cell_length_a 6.751
_cell_length_b 7.148
_cell_length_c 6.899
_cell_angle_alpha 90.00
_cell_angle_beta 90.00
_cell_angle_gamma 90.00
_space_group_name_H-M_alt 'P n n m'
_space_group_IT_number 58
loop_
_space_group_symop_operation_xyz
'x,y,z'
'-x,-y,-z'
'-x,-y,z'
'x,y,-z'
'x+1/2,-y+1/2,-z+1/2'
'-x+1/2,y+1/2,z+1/2'
'-x+1/2,y+1/2,-z+1/2'
'x+1/2,-y+1/2,z+1/2'
loop_
_atom_site_label
_atom_site_fract_x
_atom_site_fract_y
_atom_site_fract_z
Hg1 0.000 0.000 0.000
H1 0.192 0.199 0.500
H2 0.239 0.616 0.000
Br1 0.215 0.708 0.500
```


Hg3H2Br4: computed X-ray powder pattern (copper Kα), based on a crystal structure in Alexandria, relaxed with PBE.
No peak broadening, texture or thermal motion is included.

Main lines, low angle first (2θ = 5–70°):
two_theta	d (Å)	I/Imax
6.9	12.833	100.0
14.3	6.211	21.7
16.3	5.441	17.4
23.2	3.836	12.1
23.7	3.755	25.2
26.7	3.341	28.8
29.6	3.018	11.8
30.5	2.930	16.1
31.9	2.803	12.8
32.3	2.772	13.9

Cell and atoms:
```
data_Hg3H2Br4
_chemical_formula_sum 'Hg6 H4 Br8'
_cell_length_a 4.281
_cell_length_b 12.460
_cell_length_c 13.962
_cell_angle_alpha 112.15
_cell_angle_beta 95.87
_cell_angle_gamma 91.80
_space_group_name_H-M_alt 'P -1'
_space_group_IT_number 2
loop_
_space_group_symop_operation_xyz
'x,y,z'
'-x,-y,-z'
loop_
_atom_site_label
_atom_site_fract_x
_atom_site_fract_y
_atom_site_fract_z
Hg1 0.169 0.262 0.310
Hg2 0.276 0.504 0.594
Hg3 0.278 0.882 0.348
H1 0.162 0.780 0.871
H2 0.426 0.556 0.268
Br1 0.145 0.081 0.769
Br2 0.205 0.584 0.196
Br3 0.352 0.161 0.522
Br4 0.422 0.783 0.947
```


HgH6BrN2: computed X-ray powder pattern (copper Kα), based on a crystal structure in Alexandria, relaxed with PBE.
No peak broadening, texture or thermal motion is included.

Main lines, low angle first (2θ = 5–70°):
two_theta	d (Å)	I/Imax
13.2	6.685	100.0
16.8	5.291	93.8
25.3	3.525	23.9
27.3	3.265	21.5
29.2	3.060	35.4
30.5	2.933	32.4
32.2	2.778	59.3
33.9	2.648	51.8
40.4	2.230	30.6
44.1	2.055	32.2

Cell and atoms:
```
data_HgH6BrN2
_chemical_formula_sum 'Hg4 H24 Br4 N8'
_cell_length_a 10.581
_cell_length_b 8.624
_cell_length_c 6.120
_cell_angle_alpha 90.00
_cell_angle_beta 90.00
_cell_angle_gamma 90.00
_space_group_name_H-M_alt 'C m c m'
_space_group_IT_number 63
_space_group_name_Hall '-C 2c 2'
loop_
_atom_site_label
_atom_site_fract_x
_atom_site_fract_y
_atom_site_fract_z
Hg1 0.000 0.037 0.250
H1 0.134 0.321 0.114
H2 0.247 0.265 0.750
Br1 0.000 0.327 0.750
N1 0.158 0.258 0.250
```